Diffraction record for ZrAlCuAu. The XRD peak list is simulated, not measured: it uses a DFT-relaxed cell (PBE, OQMD) and λ = 1.5418 Å (Cu Kα).
Neutral-atom scattering factors, no anomalous dispersion.

Structure:
```
8
Lattice="4.338 0.000 0.000 -2.169 3.757 0.000 0.000 0.000 8.460" Properties=species:S:1:pos:R:3 pbc="T T T"
Zr 0.000 0.000 0.000
Zr 0.000 2.505 4.230
Al 2.169 1.252 1.905
Al 2.169 1.252 6.555
Cu 0.000 2.505 1.304
Cu 0.000 2.505 7.156
Au 0.000 0.000 2.809
Au 0.000 0.000 5.651
```

Top 12 peaks for 2θ from 10° to 90°, by angle:
2θ = 10.46°, I = 10.1
2θ = 23.68°, I = 67.0
2θ = 39.98°, I = 100.0
2θ = 41.64°, I = 65.2
2θ = 48.46°, I = 10.2
2θ = 53.30°, I = 8.4
2θ = 59.09°, I = 31.4
2θ = 65.76°, I = 8.3
2θ = 71.46°, I = 9.1
2θ = 74.87°, I = 31.2
2θ = 75.99°, I = 10.8
2θ = 81.40°, I = 13.8

Diffraction record for Li4AgSb2Pd. The XRD peak list is simulated, not measured: it uses a DFT-relaxed cell (PBE, OQMD) and λ = 1.5418 Å (Cu Kα).
Neutral-atom scattering factors, no anomalous dispersion.

Structure:
```
8
Lattice="4.565 0.000 0.000 0.000 4.565 0.000 0.000 0.000 6.472" Properties=species:S:1:pos:R:3 pbc="T T T"
Li 0.000 0.000 0.000
Li 0.000 2.283 1.550
Li 2.283 0.000 4.922
Li 2.283 2.283 3.236
Ag 0.000 0.000 3.236
Sb 0.000 2.283 4.919
Sb 2.283 0.000 1.553
Pd 2.283 2.283 0.000
```

Top 12 peaks for 2θ from 10° to 90°, by angle:
2θ = 23.85°, I = 100.0
2θ = 39.45°, I = 94.2
2θ = 46.62°, I = 48.3
2θ = 56.91°, I = 5.1
2θ = 57.06°, I = 10.4
2θ = 62.67°, I = 19.3
2θ = 71.54°, I = 30.8
2θ = 76.50°, I = 3.4
2θ = 76.67°, I = 10.8
2θ = 84.86°, I = 6.5
2θ = 89.69°, I = 4.8
2θ = 89.85°, I = 10.0

Diffraction record for Ta3S2. The XRD peak list is simulated, not measured: it uses a DFT-relaxed cell (PBE, OQMD) and λ = 1.5418 Å (Cu Kα).
Neutral-atom scattering factors, no anomalous dispersion.

Structure:
```
20
Lattice="7.520 0.000 0.000 0.000 8.679 2.821 0.000 -8.679 2.821" Properties=species:S:1:pos:R:3 pbc="T T T"
Ta 0.040 -4.340 2.821
Ta 0.787 -1.869 1.404
Ta 0.787 1.869 4.224
Ta 2.114 2.893 1.440
Ta 2.114 -2.893 4.260
Ta 2.588 4.340 4.140
Ta 4.932 -4.340 4.140
Ta 5.406 -2.893 1.440
Ta 5.406 2.893 4.260
Ta 6.733 1.869 1.404
Ta 6.733 -1.869 4.224
Ta 7.480 4.340 2.821
S 1.295 0.700 0.700
S 1.295 -0.700 3.521
S 3.128 -2.020 0.710
S 3.128 2.020 3.531
S 4.392 2.020 0.710
S 4.392 -2.020 3.531
S 6.225 -0.700 0.700
S 6.225 0.700 3.521
```

Top 12 peaks for 2θ from 10° to 90°, by angle:
2θ = 10.19°, I = 100.0
2θ = 11.77°, I = 34.5
2θ = 31.72°, I = 26.1
2θ = 32.54°, I = 54.9
2θ = 35.53°, I = 20.5
2θ = 37.34°, I = 18.6
2θ = 39.69°, I = 30.7
2θ = 39.96°, I = 39.0
2θ = 41.35°, I = 17.9
2θ = 41.56°, I = 61.5
2θ = 57.03°, I = 17.8
2θ = 68.15°, I = 17.9

Diffraction record for GaAgP2Se6. The XRD peak list is simulated, not measured: it uses a DFT-relaxed cell (PBE, OQMD) and λ = 1.5418 Å (Cu Kα).
Neutral-atom scattering factors, no anomalous dispersion.

Structure:
```
20
Lattice="6.448 0.000 0.000 -3.224 5.584 0.000 0.000 0.000 14.192" Properties=species:S:1:pos:R:3 pbc="T T T"
Ga 0.000 0.000 3.548
Ga 0.000 0.000 10.644
Ag 0.000 3.723 3.548
Ag 3.224 1.861 10.644
P 0.000 3.723 9.512
P 0.000 3.723 11.775
P 3.224 1.861 2.416
P 3.224 1.861 4.679
Se -0.906 1.780 12.379
Se -2.135 3.909 8.909
Se 0.906 1.780 8.909
Se -1.229 5.478 12.379
Se 1.995 0.106 5.283
Se 1.089 1.675 1.813
Se 2.135 3.909 12.379
Se 1.229 5.478 8.909
Se 4.453 0.106 1.813
Se 2.318 3.804 5.283
Se 5.359 1.675 5.283
Se 4.130 3.804 1.813
```

Top 12 peaks for 2θ from 10° to 90°, by angle:
2θ = 12.47°, I = 38.6
2θ = 24.67°, I = 10.3
2θ = 25.10°, I = 13.6
2θ = 30.46°, I = 100.0
2θ = 35.48°, I = 8.2
2θ = 37.70°, I = 41.9
2θ = 47.69°, I = 27.1
2θ = 48.94°, I = 29.0
2θ = 58.74°, I = 12.6
2θ = 63.38°, I = 7.7
2θ = 73.79°, I = 12.0
2θ = 79.87°, I = 8.8

Diffraction record for Gd2SbSe2F. The XRD peak list is simulated, not measured: it uses a DFT-relaxed cell (PBE, OQMD) and λ = 1.5418 Å (Cu Kα).
Neutral-atom scattering factors, no anomalous dispersion.

Structure:
```
6
Lattice="3.962 0.000 0.000 0.000 3.962 0.000 0.000 0.000 8.739" Properties=species:S:1:pos:R:3 pbc="T T T"
Gd 0.000 1.981 1.886
Gd 1.981 0.000 6.853
Sb 1.981 1.981 4.369
Se 0.000 1.981 7.615
Se 1.981 0.000 1.124
F 0.000 0.000 4.369
```

Top 12 peaks for 2θ from 10° to 90°, by angle:
2θ = 24.67°, I = 75.8
2θ = 30.69°, I = 48.9
2θ = 31.94°, I = 47.2
2θ = 33.59°, I = 77.4
2θ = 38.16°, I = 100.0
2θ = 38.35°, I = 71.9
2θ = 45.80°, I = 59.6
2θ = 56.15°, I = 34.4
2θ = 61.22°, I = 36.5
2θ = 68.66°, I = 20.9
2θ = 79.59°, I = 22.9
2θ = 86.50°, I = 23.1

Diffraction record for Dy4CI3Cl2. The XRD peak list is simulated, not measured: it uses a DFT-relaxed cell (PBE, OQMD) and λ = 1.5418 Å (Cu Kα).
Neutral-atom scattering factors, no anomalous dispersion.

Structure:
```
10
Lattice="9.125 -1.947 0.000 9.125 1.947 0.000 -1.469 0.000 8.302" Properties=species:S:1:pos:R:3 pbc="T T T"
Dy -0.417 0.000 2.558
Dy 6.049 0.000 3.627
Dy 10.731 0.000 4.675
Dy 17.197 0.000 5.744
C 8.390 0.000 4.151
I 2.737 0.000 2.564
I 9.125 0.000 0.000
I 14.043 0.000 5.738
Cl 1.552 0.000 6.592
Cl 15.228 0.000 1.710
```

Top 12 peaks for 2θ from 10° to 90°, by angle:
2θ = 10.66°, I = 81.6
2θ = 24.11°, I = 18.9
2θ = 26.12°, I = 14.9
2θ = 28.41°, I = 17.8
2θ = 29.83°, I = 41.7
2θ = 30.36°, I = 19.2
2θ = 31.30°, I = 100.0
2θ = 33.95°, I = 21.6
2θ = 34.29°, I = 30.8
2θ = 42.88°, I = 22.4
2θ = 44.67°, I = 21.9
2θ = 46.65°, I = 22.9

Diffraction record for CsCuI2Br. The XRD peak list is simulated, not measured: it uses a DFT-relaxed cell (PBE, OQMD) and λ = 1.5418 Å (Cu Kα).
Neutral-atom scattering factors, no anomalous dispersion.

Structure:
```
10
Lattice="-4.035 4.035 5.819 4.035 -4.035 5.819 4.035 4.035 -5.819" Properties=species:S:1:pos:R:3 pbc="T T T"
Cs 4.035 0.000 2.909
Cs 0.000 4.035 2.909
Cu 0.000 0.000 0.000
Cu 0.000 0.000 5.819
I 1.835 1.835 0.000
I 2.200 -2.200 5.819
I -2.200 2.200 5.819
I 2.200 2.200 5.819
Br 0.000 0.000 3.499
Br 0.000 0.000 8.138
```

Top 12 peaks for 2θ from 10° to 90°, by angle:
2θ = 15.23°, I = 11.1
2θ = 21.82°, I = 23.6
2θ = 25.48°, I = 9.0
2θ = 26.89°, I = 100.0
2θ = 30.73°, I = 29.4
2θ = 31.36°, I = 65.2
2θ = 44.48°, I = 38.3
2θ = 44.93°, I = 21.8
2θ = 46.86°, I = 10.7
2θ = 52.34°, I = 10.8
2θ = 53.15°, I = 23.8
2θ = 55.43°, I = 18.0

Diffraction record for KRb2Ag3As2. The XRD peak list is simulated, not measured: it uses a DFT-relaxed cell (PBE, OQMD) and λ = 1.5418 Å (Cu Kα).
Neutral-atom scattering factors, no anomalous dispersion.

Structure:
```
8
Lattice="3.102 1.791 7.248 -3.102 1.791 7.248 0.000 -3.581 7.248" Properties=species:S:1:pos:R:3 pbc="T T T"
K 0.000 0.000 0.000
Rb 0.000 0.000 8.878
Rb 0.000 0.000 12.866
Ag -3.102 0.000 10.872
Ag -1.551 0.895 3.624
Ag 1.551 0.895 3.624
As 0.000 0.000 5.484
As 0.000 0.000 16.260
```

Top 12 peaks for 2θ from 10° to 90°, by angle:
2θ = 12.21°, I = 100.0
2θ = 18.42°, I = 42.8
2θ = 26.37°, I = 72.7
2θ = 28.78°, I = 39.6
2θ = 31.37°, I = 33.5
2θ = 33.32°, I = 31.1
2θ = 33.62°, I = 78.2
2θ = 34.39°, I = 32.2
2θ = 37.34°, I = 51.4
2θ = 38.19°, I = 84.9
2θ = 47.60°, I = 38.0
2θ = 59.62°, I = 35.6